Starting from a GGA-PBE-relaxed structure, the powder diffraction line list of ErGaPd3 was computed for Cu Kα.
Intensities are scaled so that the largest is 100.

Cell and atoms:
```
data_ErGaPd3
_chemical_formula_sum 'Er2 Ga2 Pd6'
_cell_length_a 9.1943
_cell_length_b 9.1943
_cell_length_c 9.1943
_cell_angle_alpha 147.56
_cell_angle_beta 147.56
_cell_angle_gamma 46.54
_symmetry_space_group_name_H-M 'P 1'
_symmetry_Int_Tables_number 1
_symmetry_space_group_name_Hall 'P 1'
loop_
_atom_site_label
_atom_site_fract_x
_atom_site_fract_y
_atom_site_fract_z
Er1 0.1144 0.1144 0.0000
Er2 0.8856 0.8856 0.0000
Ga1 0.2500 0.7500 0.5000
Ga2 0.5000 0.5000 0.0000
Pd1 0.3727 0.1257 0.7529
Pd2 0.3727 0.6198 0.2471
Pd3 0.3802 0.6273 0.7529
Pd4 0.5290 0.0290 0.5000
Pd5 0.8743 0.6273 0.2471
Pd6 0.9710 0.4710 0.5000
```

The 10 most intense peaks (5 to 70 degrees two-theta), by intensity:
Position (°2θ)  d_spacing  I/Imax
42.5  2.127  100
47.9  1.899  90
32.5  2.754  89
34.9  2.568  74
10.5  8.446  74
36.6  2.457  67
18.0  4.915  57
21.0  4.223  55
39.6  2.276  52
31.7  2.823  47